Simulated powder diffraction line list
Compound: Cr2P5O16
Radiation: CuKα
Structure: a cell relaxed with PBE+U
No peak broadening, texture or thermal motion is included.

Structural model:
Cell lengths 5.0837, 6.7662, 18.9438 Å; angles 90.00, 90.66, 90.00 degrees
Sites, in units of the cell vectors:
1 Cr 0.2446 0.1845 0.4067
2 Cr 0.2446 0.8155 0.9067
3 Cr 0.7554 0.1845 0.0933
4 Cr 0.7554 0.8155 0.5933
5 P 0.0000 0.2662 0.2500
6 P 0.0000 0.7338 0.7500
7 P 0.2486 0.1257 0.5767
8 P 0.2486 0.8743 0.0767
9 P 0.2619 0.4629 0.1316
10 P 0.2619 0.5371 0.6316
11 P 0.7381 0.4629 0.3684
12 P 0.7381 0.5371 0.8684
13 P 0.7514 0.1257 0.9233
14 P 0.7514 0.8743 0.4233
15 O 0.0346 0.0474 0.9278
16 O 0.0346 0.9526 0.4278
17 O 0.0640 0.3647 0.0835
18 O 0.0640 0.6353 0.5835
19 O 0.1472 0.1484 0.3047
20 O 0.1472 0.8516 0.8047
21 O 0.2018 0.4160 0.2132
22 O 0.2018 0.5840 0.7132
23 O 0.2267 0.3044 0.6336
24 O 0.2267 0.6956 0.1336
25 O 0.3284 0.2181 0.5068
26 O 0.3284 0.7819 0.0068
27 O 0.4425 0.0172 0.1099
28 O 0.4425 0.9828 0.6099
29 O 0.4507 0.4215 0.3814
30 O 0.4507 0.5785 0.8814
31 O 0.5493 0.4215 0.1186
32 O 0.5493 0.5785 0.6186
33 O 0.5575 0.0172 0.3901
34 O 0.5575 0.9828 0.8901
35 O 0.6716 0.2181 0.9932
36 O 0.6716 0.7819 0.4932
37 O 0.7733 0.3044 0.8664
38 O 0.7733 0.6956 0.3664
39 O 0.7982 0.4160 0.2868
40 O 0.7982 0.5840 0.7868
41 O 0.8528 0.1484 0.1953
42 O 0.8528 0.8516 0.6953
43 O 0.9360 0.3647 0.4165
44 O 0.9360 0.6353 0.9165
45 O 0.9654 0.0474 0.5722
46 O 0.9654 0.9526 0.0722

Most intense lines, 2θ = 10–90°, sorted by position:
hkl 0 1 1, d 6.372, 2θ 13.90, intensity 77
hkl 0 1 2, d 5.506, 2θ 16.10, intensity 28
hkl 0 0 4, d 4.736, 2θ 18.74, intensity 53
hkl 1 1 -1, d 3.978, 2θ 22.35, intensity 100
hkl 0 0 6, d 3.157, 2θ 28.27, intensity 23
hkl 1 2 1, d 2.786, 2θ 32.13, intensity 33